# 1
Diffraction record for FeRh2Se4. The powder diffractogram is simulated, not measured: it uses a crystal structure in Alexandria, relaxed with PBE and a wavelength of 1.5418 Å.
Peak positions follow from Bragg's law for the DFT cell and can differ from measured ones.

Peak list (6 most intense, 10° ≤ 2θ ≤ 80°, in order of falling intensity)
(1 1 1), 32.26°, 2.775 Å, rel. 100.0; (5 1 -1), 43.61°, 2.076 Å, rel. 86.2; (3 1 1), 42.45°, 2.129 Å, rel. 82.0; (3 1 -3), 50.63°, 1.803 Å, rel. 81.6; (6 0 -2), 44.37°, 2.042 Å, rel. 59.3; (4 0 -2), 33.53°, 2.672 Å, rel. 55.6

Structural model:
```
data_FeRh2Se4
_chemical_formula_sum 'Fe2 Rh4 Se8'
_space_group_name_H-M_alt 'C 1 m 1'
_space_group_IT_number 8
_cell_length_a 12.658
_cell_length_b 3.633
_cell_length_c 6.239
_cell_angle_alpha 90.00
_cell_angle_beta 116.56
_cell_angle_gamma 90.00
loop_
_space_group_symop_operation_xyz
'x,y,z'
'x,-y,z'
'x+1/2,y+1/2,z'
'x+1/2,-y+1/2,z'
loop_
_atom_site_label
_atom_site_fract_x
_atom_site_fract_y
_atom_site_fract_z
_atom_site_occupancy
Fe1 0.000 0.000 0.000 1
Rh1 0.249 0.500 0.682 1
Rh2 0.478 0.000 0.385 1
Se1 0.105 0.000 0.702 1
Se2 0.132 0.500 0.233 1
Se3 0.350 0.500 0.137 1
Se4 0.386 0.000 0.675 1
```

---

# 2
Diffraction record for Tl3FeRh2Se6. The powder diffractogram is simulated, not measured: it uses a crystal structure in Alexandria, relaxed with PBE and a wavelength of 1.5418 Å.
Peak positions follow from Bragg's law for the DFT cell and can differ from measured ones.

Peak list (6 most intense, 10° ≤ 2θ ≤ 80°, in order of falling intensity)
(1 3 1), 31.56°, 2.835 Å, rel. 100.0; (0 6 0), 47.59°, 1.911 Å, rel. 55.0; (2 0 -2), 31.62°, 2.830 Å, rel. 49.5; (1 3 -2), 33.93°, 2.642 Å, rel. 35.5; (1 3 -3), 42.87°, 2.110 Å, rel. 27.5; (2 0 -1), 27.25°, 3.272 Å, rel. 22.2

Structural model:
```
data_Tl3FeRh2Se6
_chemical_formula_sum 'Tl6 Fe2 Rh4 Se12'
_space_group_name_H-M_alt 'C 1 2/m 1'
_space_group_IT_number 12
_cell_length_a 6.620
_cell_length_b 11.462
_cell_length_c 7.631
_cell_angle_alpha 90.00
_cell_angle_beta 106.63
_cell_angle_gamma 90.00
loop_
_space_group_symop_operation_xyz
'x,y,z'
'-x,-y,-z'
'-x,y,-z'
'x,-y,z'
'x+1/2,y+1/2,z'
'-x+1/2,-y+1/2,-z'
'-x+1/2,y+1/2,-z'
'x+1/2,-y+1/2,z'
loop_
_atom_site_label
_atom_site_fract_x
_atom_site_fract_y
_atom_site_fract_z
_atom_site_occupancy
Tl1 0.000 0.000 0.000 1
Tl2 0.000 0.333 0.000 1
Fe1 0.000 0.500 0.500 1
Rh1 0.000 0.167 0.500 1
Se1 0.224 0.000 0.670 1
Se2 0.225 0.333 0.674 1
```

---

# 3
Diffraction record for Ta4FeRh. The powder diffractogram is simulated, not measured: it uses a crystal structure in Alexandria, relaxed with PBE and a wavelength of 1.5418 Å.
Peak positions follow from Bragg's law for the DFT cell and can differ from measured ones.

Peak list (6 most intense, 10° ≤ 2θ ≤ 80°, in order of falling intensity)
(2 1 1), 36.82°, 2.441 Å, rel. 100.0; (3 1 0), 46.41°, 1.957 Å, rel. 25.5; (2 0 2), 45.68°, 1.986 Å, rel. 20.8; (2 1 3), 63.49°, 1.465 Å, rel. 20.8; (1 1 2), 40.46°, 2.229 Å, rel. 17.4; (3 3 2), 74.69°, 1.271 Å, rel. 15.6

Structural model:
```
data_Ta4FeRh
_chemical_formula_sum 'Ta8 Fe2 Rh2'
_space_group_name_H-M_alt 'P 4/m c c'
_space_group_IT_number 124
_space_group_name_Hall '-P 4 2c'
_cell_length_a 6.187
_cell_length_b 6.187
_cell_length_c 5.182
_cell_angle_alpha 90.00
_cell_angle_beta 90.00
_cell_angle_gamma 90.00
loop_
_atom_site_label
_atom_site_fract_x
_atom_site_fract_y
_atom_site_fract_z
_atom_site_occupancy
Ta1 0.151 0.329 0.000 1
Fe1 0.000 0.000 0.250 1
Rh1 0.500 0.500 0.250 1
```

---

# 4
Diffraction record for Ta2FeRh. The powder diffractogram is simulated, not measured: it uses a crystal structure in Alexandria, relaxed with PBE and a wavelength of 1.5418 Å.
Peak positions follow from Bragg's law for the DFT cell and can differ from measured ones.

Peak list (6 most intense, 10° ≤ 2θ ≤ 80°, in order of falling intensity)
(2 2 0), 39.86°, 2.262 Å, rel. 100.0; (2 0 1), 43.87°, 2.064 Å, rel. 38.1; (4 2 1), 77.90°, 1.226 Å, rel. 27.8; (2 4 1), 69.54°, 1.352 Å, rel. 22.1; (0 4 0), 51.06°, 1.789 Å, rel. 19.2; (2 0 0), 30.63°, 2.919 Å, rel. 13.5

Structural model:
```
data_Ta2FeRh
_chemical_formula_sum 'Ta4 Fe2 Rh2'
_space_group_name_H-M_alt 'C m m m'
_space_group_IT_number 65
_space_group_name_Hall '-C 2 2'
_cell_length_a 5.836
_cell_length_b 7.156
_cell_length_c 2.920
_cell_angle_alpha 90.00
_cell_angle_beta 90.00
_cell_angle_gamma 90.00
loop_
_atom_site_label
_atom_site_fract_x
_atom_site_fract_y
_atom_site_fract_z
_atom_site_occupancy
Ta1 0.250 0.250 0.000 1
Fe1 0.000 0.000 0.500 1
Rh1 0.000 0.500 0.500 1
```

---

# 5
Diffraction record for Fe2TcRh8. The powder diffractogram is simulated, not measured: it uses a crystal structure in Alexandria, relaxed with PBE and a wavelength of 1.5418 Å.
Peak positions follow from Bragg's law for the DFT cell and can differ from measured ones.

Peak list (6 most intense, 10° ≤ 2θ ≤ 80°, in order of falling intensity)
(0 4 1), 42.41°, 2.131 Å, rel. 100.0; (3 1 1), 42.21°, 2.141 Å, rel. 83.8; (3 3 0), 43.88°, 2.063 Å, rel. 45.7; (0 0 2), 45.23°, 2.005 Å, rel. 42.6; (3 3 2), 64.85°, 1.438 Å, rel. 28.3; (2 2 1), 36.70°, 2.449 Å, rel. 21.6

Structural model:
```
data_Fe2TcRh8
_chemical_formula_sum 'Fe4 Tc2 Rh16'
_space_group_name_H-M_alt 'C m m m'
_space_group_IT_number 65
_space_group_name_Hall '-C 2 2'
_cell_length_a 7.849
_cell_length_b 10.064
_cell_length_c 4.010
_cell_angle_alpha 90.00
_cell_angle_beta 90.00
_cell_angle_gamma 90.00
loop_
_atom_site_label
_atom_site_fract_x
_atom_site_fract_y
_atom_site_fract_z
_atom_site_occupancy
Fe1 0.000 0.115 0.000 1
Tc1 0.000 0.500 0.500 1
Rh1 0.000 0.242 0.500 1
Rh2 0.167 0.000 0.500 1
Rh3 0.170 0.368 0.000 1
```

---

# 6
Diffraction record for Ti4FeRh5. The powder diffractogram is simulated, not measured: it uses a crystal structure in Alexandria, relaxed with PBE and a wavelength of 1.5418 Å.
Peak positions follow from Bragg's law for the DFT cell and can differ from measured ones.

Peak list (6 most intense, 10° ≤ 2θ ≤ 80°, in order of falling intensity)
(1 0 5), 42.09°, 2.147 Å, rel. 100.0; (1 1 0), 40.12°, 2.248 Å, rel. 59.2; (2 1 5), 74.25°, 1.277 Å, rel. 34.6; (1 0 0), 28.07°, 3.179 Å, rel. 20.1; (2 0 0), 58.03°, 1.589 Å, rel. 19.1; (1 1 10), 78.26°, 1.222 Å, rel. 13.7

Structural model:
```
data_Ti4FeRh5
_chemical_formula_sum 'Ti4 Fe1 Rh5'
_space_group_name_H-M_alt 'P 4/m m m'
_space_group_IT_number 123
_space_group_name_Hall '-P 4 2'
_cell_length_a 3.179
_cell_length_b 3.179
_cell_length_c 14.552
_cell_angle_alpha 90.00
_cell_angle_beta 90.00
_cell_angle_gamma 90.00
loop_
_atom_site_label
_atom_site_fract_x
_atom_site_fract_y
_atom_site_fract_z
_atom_site_occupancy
Ti1 0.000 0.000 0.103 1
Ti2 0.000 0.000 0.313 1
Fe1 0.000 0.000 0.500 1
Rh1 0.500 0.500 0.000 1
Rh2 0.500 0.500 0.204 1
Rh3 0.500 0.500 0.403 1
```

---

> Which formula does entry 5 have?

Fe2TcRh8

---

> What is the formula in the fifth record?

Fe2TcRh8